Entry 1:
For KMg4Tl6, a cell relaxed with GGA-PBE gives the simulated powder X-ray diffraction pattern in this record (a wavelength of 1.5418 Å).
Kinematic intensities with the Lorentz-polarization factor, no thermal factor.

Structural model:
a = 8.7345 Å, b = 8.7345 Å, c = 4.8921 Å
α = 90.00°, β = 90.00°, γ = 120.00°
Atoms (fractional coordinates):
K 0.0000 0.0000 0.0000
Mg 0.2119 0.4239 0.5000
Mg 0.2119 0.7881 0.5000
Mg 0.5761 0.7881 0.5000
Mg 0.6667 0.3333 0.0000
Tl 0.0665 0.5332 0.0000
Tl 0.3955 0.1978 0.5000
Tl 0.4668 0.5332 0.0000
Tl 0.4668 0.9335 0.0000
Tl 0.8022 0.1978 0.5000
Tl 0.8022 0.6045 0.5000

Main lines, in order of rising 2θ (2θ = 10–90°):
2θ 11.70, I 27.6; 2θ 21.63, I 38.4; 2θ 23.52, I 21.4; 2θ 29.86, I 100.0; 2θ 31.29, I 16.1; 2θ 35.61, I 30.9; 2θ 36.40, I 46.2; 2θ 36.74, I 20.8; 2θ 52.09, I 21.5; 2θ 56.25, I 25.9

---

Entry 2:
For KMg5Tl3, a cell relaxed with GGA-PBE gives the simulated powder X-ray diffraction pattern in this record (a wavelength of 1.5418 Å).
Kinematic intensities with the Lorentz-polarization factor, no thermal factor.

Structural model:
a = 8.0786 Å, b = 8.0786 Å, c = 15.3082 Å
α = 90.00°, β = 90.00°, γ = 149.02°
Atoms (fractional coordinates):
K 0.1499 0.8501 0.7500
K 0.8501 0.1499 0.2500
Mg 0.0000 0.0000 0.0000
Mg 0.0000 0.0000 0.5000
Mg 0.1933 0.8067 0.0600
Mg 0.1933 0.8067 0.4400
Mg 0.4419 0.5581 0.6437
Mg 0.4419 0.5581 0.8563
Mg 0.5581 0.4419 0.1437
Mg 0.5581 0.4419 0.3563
Mg 0.8067 0.1933 0.5600
Mg 0.8067 0.1933 0.9400
Tl 0.1506 0.8494 0.2500
Tl 0.3828 0.6172 0.0639
Tl 0.3828 0.6172 0.4361
Tl 0.6172 0.3828 0.5639
Tl 0.6172 0.3828 0.9361
Tl 0.8494 0.1506 0.7500

Main lines, in order of rising 2θ (2θ = 10–90°):
2θ 20.81, I 100.0; 2θ 22.15, I 43.0; 2θ 22.85, I 53.6; 2θ 24.36, I 54.0; 2θ 29.34, I 60.4; 2θ 35.55, I 22.4; 2θ 36.44, I 42.1; 2θ 38.94, I 23.4; 2θ 41.86, I 22.2; 2θ 47.20, I 24.8

---

Entry 3:
For KMg5Tl6, a cell relaxed with GGA-PBE gives the simulated powder X-ray diffraction pattern in this record (a wavelength of 1.5418 Å).
Kinematic intensities with the Lorentz-polarization factor, no thermal factor.

Structural model:
a = 5.3090 Å, b = 7.5613 Å, c = 9.0442 Å
α = 114.70°, β = 102.86°, γ = 90.00°
Atoms (fractional coordinates):
K 0.0000 0.0000 0.0000
Mg 0.0000 0.5000 0.0000
Mg 0.3208 0.3290 0.6577
Mg 0.3489 0.8334 0.6673
Mg 0.6511 0.1666 0.3327
Mg 0.6792 0.6710 0.3423
Tl 0.1738 0.4348 0.3437
Tl 0.1741 0.9090 0.3440
Tl 0.4997 0.2746 0.9993
Tl 0.5003 0.7254 0.0007
Tl 0.8259 0.0910 0.6560
Tl 0.8262 0.5652 0.6563

Main lines, in order of rising 2θ (2θ = 10–90°):
2θ 22.75, I 75.1; 2θ 23.53, I 64.4; 2θ 24.69, I 60.6; 2θ 32.96, I 100.0; 2θ 33.75, I 48.3; 2θ 33.88, I 48.9; 2θ 34.37, I 89.9; 2θ 41.57, I 31.5; 2θ 41.66, I 30.4; 2θ 60.12, I 31.3

---

Entry 4:
For KMg6V, a cell relaxed with GGA-PBE gives the simulated powder X-ray diffraction pattern in this record (a wavelength of 1.5418 Å).
Kinematic intensities with the Lorentz-polarization factor, no thermal factor.

Structural model:
a = 5.2780 Å, b = 6.5128 Å, c = 11.2962 Å
α = 90.00°, β = 90.00°, γ = 90.00°
Atoms (fractional coordinates):
K 0.0000 0.0000 0.0000
K 0.0000 0.5000 0.5000
Mg 0.0000 0.0000 0.4920
Mg 0.0000 0.2371 0.2543
Mg 0.0000 0.2629 0.7543
Mg 0.0000 0.5000 0.9920
Mg 0.0000 0.7371 0.7543
Mg 0.0000 0.7629 0.2543
Mg 0.5000 0.0000 0.8256
Mg 0.5000 0.2384 0.5885
Mg 0.5000 0.2616 0.0885
Mg 0.5000 0.5000 0.3256
Mg 0.5000 0.7384 0.0885
Mg 0.5000 0.7616 0.5885
V 0.5000 0.0000 0.3342
V 0.5000 0.5000 0.8342

Main lines, in order of rising 2θ (2θ = 10–90°):
2θ 23.07, I 9.3; 2θ 31.71, I 24.2; 2θ 33.97, I 26.8; 2θ 36.09, I 100.0; 2θ 47.15, I 15.0; 2θ 56.48, I 16.3; 2θ 62.18, I 18.3; 2θ 67.57, I 18.1; 2θ 68.88, I 12.6; 2θ 88.91, I 6.0

---

Entry 5:
For KMg14W, a cell relaxed with GGA-PBE gives the simulated powder X-ray diffraction pattern in this record (a wavelength of 1.5418 Å).
Kinematic intensities with the Lorentz-polarization factor, no thermal factor.

Structural model:
a = 6.4922 Å, b = 6.4922 Å, c = 8.6941 Å
α = 90.00°, β = 90.00°, γ = 90.00°
Atoms (fractional coordinates):
K 0.0000 0.0000 0.0000
Mg 0.0000 0.0000 0.5000
Mg 0.0000 0.5000 0.0000
Mg 0.0000 0.5000 0.5000
Mg 0.2706 0.2706 0.2467
Mg 0.2706 0.2706 0.7533
Mg 0.2706 0.7294 0.2467
Mg 0.2706 0.7294 0.7533
Mg 0.5000 0.0000 0.0000
Mg 0.5000 0.0000 0.5000
Mg 0.5000 0.5000 0.5000
Mg 0.7294 0.2706 0.2467
Mg 0.7294 0.2706 0.7533
Mg 0.7294 0.7294 0.2467
Mg 0.7294 0.7294 0.7533
W 0.5000 0.5000 0.0000

Main lines, in order of rising 2θ (2θ = 10–90°):
2θ 10.17, I 38.9; 2θ 13.64, I 37.8; 2θ 17.05, I 32.0; 2θ 19.34, I 19.1; 2θ 21.89, I 27.4; 2θ 34.48, I 100.0; 2θ 39.25, I 33.9; 2θ 41.55, I 15.0; 2θ 58.48, I 20.3; 2θ 68.09, I 23.5

---

Entry 6:
For KY2Mg, a cell relaxed with GGA-PBE gives the simulated powder X-ray diffraction pattern in this record (a wavelength of 1.5418 Å).
Kinematic intensities with the Lorentz-polarization factor, no thermal factor.

Structural model:
a = 3.6350 Å, b = 3.6363 Å, c = 10.9530 Å
α = 90.00°, β = 90.07°, γ = 90.00°
Atoms (fractional coordinates):
K 0.0000 0.0000 0.0000
Y 0.0023 0.0000 0.5339
Y 0.5016 0.5000 0.3175
Mg 0.5036 0.5000 0.7242

Main lines, in order of rising 2θ (2θ = 10–90°):
2θ 25.82, I 15.7; 2θ 29.49, I 100.0; 2θ 32.70, I 11.6; 2θ 34.87, I 60.3; 2θ 35.88, I 10.5; 2θ 41.24, I 11.8; 2θ 48.54, I 11.2; 2θ 50.19, I 12.5; 2θ 55.08, I 9.7; 2θ 59.29, I 25.3